Sm2Dy2CI3Cl2: computed powder XRD pattern (Cu Kα (λ = 1.5418 Å)), based on a PBE-relaxed structure.
Peak positions follow from Bragg's law for the DFT cell and can differ from measured ones.

Structural model:
```
data_Sm2Dy2CI3Cl2
_cell_length_a 17.6913
_cell_length_b 3.9514
_cell_length_c 8.7886
_cell_angle_alpha 90.00
_cell_angle_beta 102.60
_cell_angle_gamma 90.00
_space_group_name_H-M_alt 'C 1 2/m 1'
_space_group_IT_number 12
loop_
_space_group_symop_operation_xyz
'x,y,z'
'-x,-y,-z'
'-x,y,-z'
'x,-y,z'
'x+1/2,y+1/2,z'
'-x+1/2,-y+1/2,-z'
'-x+1/2,y+1/2,-z'
'x+1/2,-y+1/2,z'
loop_
_atom_site_label
_atom_site_type_symbol
_atom_site_fract_x
_atom_site_fract_y
_atom_site_fract_z
Sm1 Sm 0.0037 0.0000 0.3088
Dy1 Dy 0.1393 0.5000 0.5654
C1 C 0.0000 0.5000 0.5000
I1 I 0.0000 0.5000 0.0000
I2 I 0.1752 0.0000 0.8342
Cl1 Cl 0.1716 0.0000 0.3681
```

Peak list (6 most intense, 2θ from 5° to 70°, sorted by position)
- 10.3°, I = 50
- 20.9°, I = 31
- 30.4°, I = 100
- 30.5°, I = 44
- 31.1°, I = 39
- 44.5°, I = 26

***

Na3ErBr6: computed powder XRD pattern (Cu Kα (λ = 1.5418 Å)), based on a PBE-relaxed structure.
Peak positions follow from Bragg's law for the DFT cell and can differ from measured ones.

Structural model:
```
data_Na3ErBr6
_cell_length_a 7.3480
_cell_length_b 7.3480
_cell_length_c 13.2621
_cell_angle_alpha 90.00
_cell_angle_beta 90.00
_cell_angle_gamma 120.00
_space_group_name_H-M_alt 'P -3 1 c'
_space_group_IT_number 163
_space_group_name_Hall '-P 3 2c'
loop_
_atom_site_label
_atom_site_type_symbol
_atom_site_fract_x
_atom_site_fract_y
_atom_site_fract_z
Na1 Na 0.0000 0.0000 0.2500
Na2 Na 0.3333 0.6667 0.0367
Er1 Er 0.3333 0.6667 0.7500
Br1 Br 0.0379 0.3537 0.6255
```

Peak list (6 most intense, 2θ from 5° to 70°, sorted by position)
- 15.4°, I = 65
- 27.8°, I = 100
- 34.7°, I = 18
- 36.5°, I = 53
- 42.6°, I = 37
- 48.0°, I = 23

***

GdScW2C3: computed powder XRD pattern (Cu Kα (λ = 1.5418 Å)), based on a PBE-relaxed structure.
Peak positions follow from Bragg's law for the DFT cell and can differ from measured ones.

Structural model:
```
data_GdScW2C3
_cell_length_a 11.5928
_cell_length_b 3.2750
_cell_length_c 5.6206
_cell_angle_alpha 90.00
_cell_angle_beta 111.37
_cell_angle_gamma 90.00
_space_group_name_H-M_alt 'C 1 m 1'
_space_group_IT_number 8
loop_
_space_group_symop_operation_xyz
'x,y,z'
'x,-y,z'
'x+1/2,y+1/2,z'
'x+1/2,-y+1/2,z'
loop_
_atom_site_label
_atom_site_type_symbol
_atom_site_fract_x
_atom_site_fract_y
_atom_site_fract_z
Gd1 Gd 0.0000 0.0000 0.0000
Sc1 Sc 0.2234 0.0000 0.6537
W1 W 0.2602 0.5000 0.1413
W2 W 0.4508 0.0000 0.4878
C1 C 0.1101 0.5000 0.8013
C2 C 0.3510 0.5000 0.5539
C3 C 0.3555 0.0000 0.0763
```

Peak list (6 most intense, 2θ from 5° to 70°, sorted by position)
- 18.8°, I = 43
- 32.1°, I = 30
- 33.2°, I = 39
- 34.9°, I = 100
- 36.9°, I = 72
- 43.6°, I = 27

***

HoSc2Ni9: computed powder XRD pattern (Cu Kα (λ = 1.5418 Å)), based on a PBE-relaxed structure.
Peak positions follow from Bragg's law for the DFT cell and can differ from measured ones.

Structural model:
```
data_HoSc2Ni9
_cell_length_a 4.8528
_cell_length_b 4.8528
_cell_length_c 23.7285
_cell_angle_alpha 90.00
_cell_angle_beta 90.00
_cell_angle_gamma 120.00
_space_group_name_H-M_alt 'R -3 m'
_space_group_IT_number 166
_space_group_name_Hall '-R 3 2"'
loop_
_atom_site_label
_atom_site_type_symbol
_atom_site_fract_x
_atom_site_fract_y
_atom_site_fract_z
Ho1 Ho 0.0000 0.0000 0.0000
Sc1 Sc 0.0000 0.0000 0.1409
Ni1 Ni 0.0000 0.0000 0.3333
Ni2 Ni 0.0000 0.0000 0.5000
Ni3 Ni 0.0028 0.5014 0.9154
```

Peak list (6 most intense, 2θ from 5° to 70°, sorted by position)
- 11.2°, I = 24
- 34.0°, I = 21
- 37.1°, I = 43
- 43.2°, I = 27
- 43.8°, I = 100
- 45.9°, I = 23

***

Y3HoPb2N2: computed powder XRD pattern (Cu Kα (λ = 1.5418 Å)), based on a PBE-relaxed structure.
Peak positions follow from Bragg's law for the DFT cell and can differ from measured ones.

Structural model:
```
data_Y3HoPb2N2
_cell_length_a 3.5520
_cell_length_b 3.5520
_cell_length_c 15.5858
_cell_angle_alpha 90.00
_cell_angle_beta 90.00
_cell_angle_gamma 120.00
_space_group_name_H-M_alt 'P 3 m 1'
_space_group_IT_number 156
loop_
_space_group_symop_operation_xyz
'x,y,z'
'-y,x-y,z'
'-x+y,-x,z'
'-y,-x,z'
'-x+y,y,z'
'x,x-y,z'
loop_
_atom_site_label
_atom_site_type_symbol
_atom_site_fract_x
_atom_site_fract_y
_atom_site_fract_z
Y1 Y 0.0000 0.0000 0.0000
Y2 Y 0.0000 0.0000 0.3328
Y3 Y 0.6667 0.3333 0.8325
Ho1 Ho 0.6667 0.3333 0.4991
Pb1 Pb 0.0000 0.0000 0.6654
Pb2 Pb 0.6667 0.3333 0.1665
N1 N 0.3333 0.6667 0.4183
N2 N 0.3333 0.6667 0.9163
```

Peak list (6 most intense, 2θ from 5° to 70°, sorted by position)
- 29.0°, I = 22
- 33.9°, I = 100
- 34.5°, I = 20
- 51.5°, I = 22
- 61.4°, I = 19
- 63.4°, I = 21

***

Hf4Sc2Bi3C3: computed powder XRD pattern (Cu Kα (λ = 1.5418 Å)), based on a PBE-relaxed structure.
Peak positions follow from Bragg's law for the DFT cell and can differ from measured ones.

Structural model:
```
data_Hf4Sc2Bi3C3
_cell_length_a 10.2918
_cell_length_b 5.9413
_cell_length_c 14.9301
_cell_angle_alpha 90.00
_cell_angle_beta 103.33
_cell_angle_gamma 90.00
_space_group_name_H-M_alt 'C 1 2/c 1'
_space_group_IT_number 15
loop_
_space_group_symop_operation_xyz
'x,y,z'
'-x,-y,-z'
'-x,y,-z+1/2'
'x,-y,z+1/2'
'x+1/2,y+1/2,z'
'-x+1/2,-y+1/2,-z'
'-x+1/2,y+1/2,-z+1/2'
'x+1/2,-y+1/2,z+1/2'
loop_
_atom_site_label
_atom_site_type_symbol
_atom_site_fract_x
_atom_site_fract_y
_atom_site_fract_z
Hf1 Hf 0.1099 0.0892 0.0798
Hf2 Hf 0.2262 0.0805 0.4202
Sc1 Sc 0.0526 0.4194 0.9175
Bi1 Bi 0.0000 0.0811 0.7500
Bi2 Bi 0.1671 0.4183 0.2508
C1 C 0.0859 0.2429 0.5000
C2 C 0.2500 0.2500 0.0000
```

Peak list (6 most intense, 2θ from 5° to 70°, sorted by position)
- 30.1°, I = 23
- 35.4°, I = 100
- 37.1°, I = 19
- 53.4°, I = 22
- 65.8°, I = 22
- 66.8°, I = 21